1.
The following is a calculated powder X-ray diffraction pattern of ZnNi2Sb. It was derived from a crystal structure in Alexandria, relaxed with GGA-PBE, using Cu Kα (λ = 1.5418 Å).
Intensities are scaled so that the largest is 100.

Cell and atoms:
```
4
Lattice="4.392 -1.696 0.000 4.392 1.696 0.000 -1.126 0.000 3.924" Properties=species:S:1:pos:R:3 pbc="T T T"
Zn 0.000 0.000 0.000
Ni 1.352 0.000 3.434
Ni 3.789 0.000 2.036
Sb 6.274 0.000 1.440
```

Largest 10 diffraction maxima, by angle, 2θ = 10–90°:
two_theta	I_rel
34.65	17.4
38.46	100.0
42.84	41.4
43.21	79.3
45.28	24.5
46.27	14.3
52.39	12.9
54.07	20.9
71.34	17.8
72.31	12.3


2.
The following is a calculated powder X-ray diffraction pattern of Ce6SnIr2. It was derived from a crystal structure in Alexandria, relaxed with GGA-PBE, using Cu Kα (λ = 1.5418 Å).
Intensities are scaled so that the largest is 100.

Cell and atoms:
```
18
Lattice="-4.606 4.732 5.458 4.606 -4.732 5.458 4.606 4.732 -5.458" Properties=species:S:1:pos:R:3 pbc="T T T"
Ce 4.606 2.867 -2.826
Ce 2.716 1.810 0.000
Ce 6.496 1.810 0.000
Ce 1.836 4.732 -1.893
Ce 2.770 0.000 3.565
Ce 0.000 1.865 2.632
Ce 4.606 2.867 2.826
Ce 1.836 4.732 1.893
Ce 2.770 0.000 7.351
Ce -1.890 2.921 5.458
Ce 1.890 2.921 5.458
Ce 0.000 1.865 8.284
Sn 0.000 0.000 0.000
Sn 0.000 0.000 5.458
Ir 4.606 0.000 1.466
Ir 0.000 3.216 0.000
Ir 0.000 6.247 0.000
Ir 0.000 4.732 3.991
```

Largest 10 diffraction maxima, by angle, 2θ = 10–90°:
two_theta	I_rel
13.41	36.7
31.68	76.1
32.77	100.0
34.24	99.2
35.46	73.0
35.82	43.0
38.06	47.2
38.36	46.3
58.51	35.7
60.63	38.7


3.
The following is a calculated powder X-ray diffraction pattern of TmLuPtPb. It was derived from a crystal structure in Alexandria, relaxed with GGA-PBE, using Cu Kα (λ = 1.5418 Å).
Intensities are scaled so that the largest is 100.

Cell and atoms:
```
4
Lattice="0.000 3.613 3.613 3.613 0.000 3.613 3.613 3.613 0.000" Properties=species:S:1:pos:R:3 pbc="T T T"
Tm 0.000 0.000 0.000
Lu 3.613 3.613 3.613
Pt 1.806 1.806 1.806
Pb 5.419 5.419 5.419
```

Largest 6 diffraction maxima, by angle, 2θ = 10–90°:
two_theta	I_rel
24.64	0.6
35.13	100.0
50.53	18.1
63.03	37.6
74.26	11.7
84.88	17.0


4.
The following is a calculated powder X-ray diffraction pattern of Ga2H6Se3O12. It was derived from a crystal structure in Alexandria, relaxed with GGA-PBE, using Cu Kα (λ = 1.5418 Å).
Intensities are scaled so that the largest is 100.

Cell and atoms:
```
46
Lattice="4.685 2.705 6.715 -4.685 2.705 6.715 0.000 -5.410 6.715" Properties=species:S:1:pos:R:3 pbc="T T T"
Ga 0.000 0.000 0.000
Ga 0.000 0.000 4.746
Ga 0.000 0.000 10.072
Ga 0.000 0.000 14.819
H -3.414 -1.786 10.244
H -2.432 0.678 5.807
H -2.253 -2.027 9.164
H 0.629 -2.446 5.807
H -0.160 -1.560 6.886
H -1.271 0.919 6.886
H 1.431 0.641 6.886
H -0.629 2.964 9.164
H 1.804 1.767 5.807
H 2.882 -0.938 9.164
H 3.254 -2.064 10.244
H 0.160 3.850 10.244
Se -2.871 1.319 9.131
Se 0.293 -3.146 9.131
Se -1.814 -1.386 12.488
Se -0.293 2.264 12.488
Se 2.107 -0.878 12.488
Se 2.578 1.827 9.131
O -0.569 -3.853 7.806
O -3.568 -1.452 12.290
O -1.507 0.410 6.076
O -3.052 2.419 7.806
O -0.585 -3.825 10.464
O 0.399 -1.510 6.076
O -0.526 -1.594 8.932
O -3.020 2.419 10.464
O -1.633 -0.286 11.163
O -1.117 1.253 8.932
O 1.109 1.100 6.076
O -1.665 -0.286 13.822
O 1.064 -1.271 11.163
O 1.643 0.341 8.932
O -0.399 -1.510 16.149
O 0.569 1.557 11.163
O 1.080 -1.299 13.822
O -1.109 1.100 16.149
O 3.042 -2.364 12.290
O 0.585 1.585 13.822
O 3.621 1.434 7.806
O 0.526 3.816 12.290
O 1.507 0.410 16.149
O 3.605 1.406 10.464
```

Largest 10 diffraction maxima, by angle, 2θ = 10–90°:
two_theta	I_rel
14.01	69.5
18.94	34.3
23.64	97.1
26.55	20.7
28.24	100.0
30.46	35.8
34.23	66.4
38.43	20.9
51.60	22.4
61.99	21.7


5.
The following is a calculated powder X-ray diffraction pattern of ScInGaHg. It was derived from a crystal structure in Alexandria, relaxed with GGA-PBE, using Cu Kα (λ = 1.5418 Å).
Intensities are scaled so that the largest is 100.

Cell and atoms:
```
4
Lattice="4.311 0.000 0.000 0.000 4.326 0.000 0.000 0.000 4.465" Properties=species:S:1:pos:R:3 pbc="T T T"
Sc 0.000 0.000 0.000
In 0.000 2.163 2.232
Ga 2.156 2.163 0.000
Hg 2.156 0.000 2.232
```

Largest 10 diffraction maxima, by angle, 2θ = 10–90°:
two_theta	I_rel
19.89	21.4
29.24	17.3
35.62	100.0
40.41	17.6
41.76	16.0
41.91	15.8
59.51	11.1
70.38	13.3
72.25	12.4
72.46	12.3


6.
The following is a calculated powder X-ray diffraction pattern of LiAc2Zn12Cu3. It was derived from a crystal structure in Alexandria, relaxed with GGA-PBE, using Cu Kα (λ = 1.5418 Å).
Intensities are scaled so that the largest is 100.

Cell and atoms:
```
18
Lattice="4.334 2.502 6.116 -4.334 2.502 6.116 0.000 -5.005 6.116" Properties=species:S:1:pos:R:3 pbc="T T T"
Li 0.000 0.000 0.000
Ac 0.000 0.000 7.079
Ac 0.000 0.000 11.270
Zn 0.000 -2.677 5.411
Zn -2.318 1.338 5.411
Zn -2.338 -1.350 9.380
Zn 0.000 -2.700 8.968
Zn -2.338 1.350 8.968
Zn -2.318 -1.338 12.938
Zn 2.318 1.338 5.411
Zn 2.338 -1.350 9.380
Zn 0.000 2.700 9.380
Zn 2.338 1.350 8.968
Zn 2.318 -1.338 12.938
Zn 0.000 2.677 12.938
Cu -4.334 0.000 9.174
Cu -2.167 1.251 3.058
Cu 2.167 1.251 3.058
```

Largest 10 diffraction maxima, by angle, 2θ = 10–90°:
two_theta	I_rel
22.72	28.2
24.20	82.1
25.18	43.0
30.78	57.9
31.92	25.9
34.17	50.4
35.94	20.9
41.68	100.0
42.04	20.2
62.55	38.6


7.
The following is a calculated powder X-ray diffraction pattern of LaGe2Rh6. It was derived from a crystal structure in Alexandria, relaxed with GGA-PBE, using Cu Kα (λ = 1.5418 Å).
Intensities are scaled so that the largest is 100.

Cell and atoms:
```
18
Lattice="0.000 5.545 5.545 5.545 0.000 5.545 5.545 5.545 0.000" Properties=species:S:1:pos:R:3 pbc="T T T"
La 1.386 1.386 1.386
La 9.704 9.704 9.704
Ge 5.545 2.772 2.772
Ge 2.772 5.545 2.772
Ge 2.772 2.772 5.545
Ge 5.545 5.545 5.545
Rh 4.159 4.159 1.340
Rh 4.159 1.340 4.159
Rh 6.978 4.159 4.159
Rh 6.931 6.931 4.112
Rh 6.931 4.112 6.931
Rh 9.750 6.931 6.931
Rh 1.340 4.159 4.159
Rh 4.159 6.978 4.159
Rh 4.159 4.159 6.978
Rh 4.112 6.931 6.931
Rh 6.931 9.750 6.931
Rh 6.931 6.931 9.750
```

Largest 10 diffraction maxima, by angle, 2θ = 10–90°:
two_theta	I_rel
26.66	30.4
27.87	7.3
32.29	62.8
42.35	14.2
46.31	100.0
57.58	15.5
64.55	6.7
67.58	15.7
76.89	19.4
85.86	32.7


8.
The following is a calculated powder X-ray diffraction pattern of Rb3Pr3UTe8. It was derived from a crystal structure in Alexandria, relaxed with GGA-PBE, using Cu Kα (λ = 1.5418 Å).
Intensities are scaled so that the largest is 100.

Cell and atoms:
```
15
Lattice="4.605 2.659 8.734 -4.605 2.659 8.734 0.000 -5.318 8.734" Properties=species:S:1:pos:R:3 pbc="T T T"
Rb -2.303 -1.329 8.734
Rb -2.303 1.329 17.468
Rb 0.000 2.659 8.734
Pr -4.605 0.000 13.101
Pr -2.303 1.329 4.367
Pr 2.303 1.329 4.367
U 0.000 0.000 13.101
Te 0.000 0.000 6.174
Te -2.225 -1.285 14.833
Te 0.000 -2.570 11.369
Te -2.225 1.285 11.369
Te 2.225 -1.285 14.833
Te 0.000 2.570 14.833
Te 2.225 1.285 11.369
Te 0.000 0.000 20.029
```

Largest 10 diffraction maxima, by angle, 2θ = 10–90°:
two_theta	I_rel
10.13	41.5
26.16	100.0
32.81	18.4
35.46	34.0
39.12	37.2
44.29	12.2
47.67	19.4
53.82	10.1
58.22	10.3
63.31	16.4


9.
The following is a calculated powder X-ray diffraction pattern of Y5SnAu2. It was derived from a crystal structure in Alexandria, relaxed with GGA-PBE, using Cu Kα (λ = 1.5418 Å).
Intensities are scaled so that the largest is 100.

Cell and atoms:
```
16
Lattice="-4.022 4.022 6.651 4.022 -4.022 6.651 4.022 4.022 -6.651" Properties=species:S:1:pos:R:3 pbc="T T T"
Y 0.000 0.000 0.000
Y 5.289 1.267 -1.918
Y 1.267 2.755 -1.918
Y 5.289 1.267 1.918
Y 1.267 2.755 1.918
Y 0.000 0.000 6.651
Y 2.755 1.267 4.734
Y -1.267 2.755 4.734
Y 2.755 1.267 8.569
Y -1.267 2.755 8.569
Sn 0.000 0.000 3.326
Sn 0.000 0.000 9.977
Au 2.932 1.089 0.000
Au 2.932 -1.089 6.651
Au 1.089 5.111 0.000
Au 1.089 2.932 6.651
```

Largest 10 diffraction maxima, by angle, 2θ = 10–90°:
two_theta	I_rel
13.31	24.3
20.55	14.6
32.04	100.0
35.01	10.9
35.29	50.1
42.25	18.8
44.86	8.8
45.52	9.2
66.00	17.2
67.28	13.3


10.
The following is a calculated powder X-ray diffraction pattern of Gd3Y13O24. It was derived from a crystal structure in Alexandria, relaxed with GGA-PBE, using Cu Kα (λ = 1.5418 Å).
Intensities are scaled so that the largest is 100.

Cell and atoms:
```
40
Lattice="9.285 0.000 0.000 -3.095 8.765 0.000 -3.095 -4.381 7.593" Properties=species:S:1:pos:R:3 pbc="T T T"
Gd 0.000 0.000 0.000
Gd -2.700 5.614 1.663
Gd 3.085 -1.774 7.346
Y -2.697 -0.955 5.441
Y -2.701 2.750 3.812
Y -0.009 0.430 3.561
Y 0.191 -3.009 5.694
Y 0.205 3.568 1.913
Y 0.405 6.702 0.251
Y -0.019 -0.012 7.591
Y -0.014 3.699 5.944
Y 3.088 1.517 2.152
Y 3.494 -1.624 3.795
Y 3.287 1.374 5.684
Y 6.375 -0.822 1.907
Y 3.485 4.517 4.042
O -2.365 0.508 3.717
O -2.081 3.318 1.683
O -0.623 -1.129 2.005
O -3.585 4.927 3.659
O -4.919 2.462 7.414
O -2.090 -3.085 6.000
O -2.364 0.085 7.439
O 0.877 1.392 1.598
O -2.361 3.521 5.942
O -0.347 -0.773 5.455
O -0.459 5.751 2.220
O -0.350 2.653 3.962
O 2.475 -2.933 5.355
O 2.223 0.275 3.961
O 3.941 2.183 0.154
O 4.098 -0.493 1.816
O 2.484 3.801 2.137
O 2.745 6.616 0.087
O 2.215 3.418 5.593
O 2.211 0.429 7.498
O 2.612 6.575 3.630
O 7.044 0.528 0.167
O 4.354 2.325 3.877
O 4.359 -0.665 5.760
```

Largest 10 diffraction maxima, by angle, 2θ = 10–90°:
two_theta	I_rel
20.27	15.2
28.82	100.0
33.40	27.9
35.49	7.0
39.38	5.9
42.98	10.6
47.95	41.9
52.57	6.6
56.92	29.8
58.31	7.1


11.
The following is a calculated powder X-ray diffraction pattern of Dy8CuRu5. It was derived from a crystal structure in Alexandria, relaxed with GGA-PBE, using Cu Kα (λ = 1.5418 Å).
Intensities are scaled so that the largest is 100.

Cell and atoms:
```
14
Lattice="-4.292 4.292 4.255 4.292 -4.292 4.255 4.292 4.292 -4.255" Properties=species:S:1:pos:R:3 pbc="T T T"
Dy 3.753 2.752 -2.598
Dy 3.675 1.597 0.634
Dy 2.695 -0.617 3.621
Dy 0.539 1.540 1.657
Dy 1.597 4.908 -0.634
Dy 1.540 -0.539 6.853
Dy 2.752 4.830 2.598
Dy 0.617 2.695 4.889
Cu 0.000 4.292 2.128
Ru 1.244 2.151 -0.951
Ru 6.433 1.244 0.951
Ru 0.000 0.000 4.255
Ru 3.048 2.141 3.304
Ru -2.141 3.048 5.206
```

Largest 10 diffraction maxima, by angle, 2θ = 10–90°:
two_theta	I_rel
29.56	16.8
33.02	100.0
33.26	44.8
39.34	60.7
39.50	26.8
52.29	14.7
54.53	20.9
54.82	13.1
67.27	14.6
69.27	12.6